Diffraction record for NdCuH8Ir2. The powder diffraction line list is computed, not measured: it uses DFT lattice parameters and positions (PBE) and Cu Kα (λ = 1.5418 Å).

Cell and atoms:
a = 6.175 Å, b = 6.175 Å, c = 6.175 Å
α = 45.17°, β = 45.17°, γ = 45.17°
Atoms (fractional coordinates):
Nd (0.000, 0.000, 0.000)
Cu (0.500, 0.500, 0.500)
H (0.128, 0.790, 0.421)
H (0.210, 0.579, 0.872)
H (0.312, 0.312, 0.312)
H (0.421, 0.128, 0.790)
H (0.579, 0.872, 0.210)
H (0.688, 0.688, 0.688)
H (0.790, 0.421, 0.128)
H (0.872, 0.210, 0.579)
Ir (0.212, 0.212, 0.212)
Ir (0.788, 0.788, 0.788)

Top 10 peaks for 10 to 80 degrees two-theta, low angle first:
2theta	I_rel
16.01	24
22.30	29
30.62	96
34.74	64
37.95	100
49.52	26
52.39	21
63.94	20
64.04	23
66.49	21